# LiBiW2O8
Calculated powder XRD pattern, Cu Kα (λ = 1.5418 Å). Input: the PBE+U geometry in Alexandria.
Neutral-atom scattering factors, no anomalous dispersion.

The 10 most intense peaks (10° ≤ 2θ ≤ 90°), low angle first:
- 2θ 19.04, rel. 29
- 2θ 22.70, rel. 88
- 2θ 28.17, rel. 100
- 2θ 29.26, rel. 99
- 2θ 34.19, rel. 59
- 2θ 35.16, rel. 55
- 2θ 48.06, rel. 36
- 2θ 49.17, rel. 28
- 2θ 50.55, rel. 29
- 2θ 58.29, rel. 30

Atomic structure:
```
LiBiW2O8
1.0
5.112 0.000 0.000
0.000 6.115 0.000
-4.601 0.000 10.204
Li Bi W O
2 2 4 16
direct
0.000 0.236 0.250
0.000 0.764 0.750
0.500 0.345 0.750
0.500 0.655 0.250
0.265 0.165 0.012
0.265 0.835 0.512
0.735 0.165 0.488
0.735 0.835 0.988
0.152 0.107 0.596
0.152 0.893 0.096
0.231 0.347 0.137
0.231 0.653 0.637
0.276 0.367 0.894
0.276 0.633 0.394
0.341 0.087 0.394
0.341 0.913 0.894
0.659 0.087 0.106
0.659 0.913 0.606
0.724 0.367 0.606
0.724 0.633 0.106
0.769 0.347 0.363
0.769 0.653 0.863
0.848 0.107 0.904
0.848 0.893 0.404
```